No. 1
Starting from the GGA-PBE geometry in Alexandria, the XRD peak list of Ca2IN2 was simulated for Cu Kα X-rays.
Neutral-atom scattering factors, no anomalous dispersion.

Structure:
Lattice parameters (Å, degrees): 7.771 7.771 6.725 100.62 100.62 30.99
Fractional positions:
Ca1 0.044 0.628 0.842
Ca2 0.372 0.956 0.658
Ca3 0.628 0.044 0.342
Ca4 0.956 0.372 0.158
I1 0.255 0.745 0.250
I2 0.745 0.255 0.750
N1 0.147 0.398 0.473
N2 0.398 0.147 0.973
N3 0.602 0.853 0.027
N4 0.853 0.602 0.527

Largest 6 diffraction maxima, in order of rising 2θ, 10 to 80 degrees two-theta:
| 2θ (°) | I/Imax |
| --- | --- |
| 12.04 | 25 |
| 25.45 | 38 |
| 29.74 | 100 |
| 31.77 | 39 |
| 32.83 | 69 |
| 46.05 | 29 |


No. 2
Starting from the GGA-PBE geometry in Alexandria, the XRD peak list of CuGePb2S5 was simulated for Cu Kα X-rays.
Neutral-atom scattering factors, no anomalous dispersion.

Structure:
Lattice parameters (Å, degrees): 9.543 9.543 11.999 90.00 90.00 157.89
Fractional positions:
Cu1 0.206 0.794 0.500
Cu2 0.794 0.206 0.000
Ge1 0.445 0.555 0.903
Ge2 0.555 0.445 0.403
Pb1 0.123 0.877 0.787
Pb2 0.144 0.856 0.139
Pb3 0.856 0.144 0.639
Pb4 0.877 0.123 0.287
S1 0.024 0.976 0.510
S2 0.296 0.704 0.131
S3 0.326 0.674 0.873
S4 0.335 0.665 0.467
S5 0.499 0.501 0.242
S6 0.501 0.499 0.742
S7 0.665 0.335 0.967
S8 0.674 0.326 0.373
S9 0.704 0.296 0.631
S10 0.976 0.024 0.010

Largest 6 diffraction maxima, in order of rising 2θ, 10 to 80 degrees two-theta:
| 2θ (°) | I/Imax |
| --- | --- |
| 18.95 | 34 |
| 24.17 | 100 |
| 28.27 | 33 |
| 29.56 | 33 |
| 33.53 | 73 |
| 41.21 | 32 |


No. 3
Starting from the GGA-PBE geometry in Alexandria, the XRD peak list of CrTeHRhAu2 was simulated for Cu Kα X-rays.
Neutral-atom scattering factors, no anomalous dispersion.

Structure:
Lattice parameters (Å, degrees): 5.659 2.965 6.377 90.00 105.22 90.00
Fractional positions:
Cr1 0.000 0.000 0.000
Te1 0.281 0.500 0.355
H1 0.876 0.000 0.681
Rh1 0.054 0.500 0.684
Au1 0.467 0.000 0.897
Au2 0.745 0.500 0.258

Largest 6 diffraction maxima, in order of rising 2θ, 10 to 80 degrees two-theta:
| 2θ (°) | I/Imax |
| --- | --- |
| 18.68 | 76 |
| 32.19 | 55 |
| 33.55 | 100 |
| 39.20 | 46 |
| 39.47 | 54 |
| 45.15 | 46 |


No. 4
Starting from the GGA-PBE geometry in Alexandria, the XRD peak list of KRbSrCl4 was simulated for Cu Kα X-rays.
Neutral-atom scattering factors, no anomalous dispersion.

Structure:
Lattice parameters (Å, degrees): 9.202 9.202 9.202 144.21 144.21 51.51
Fractional positions:
K1 0.000 0.000 0.000
Rb1 0.284 0.284 0.000
Sr1 0.644 0.644 0.000
Cl1 0.140 0.640 0.500
Cl2 0.473 0.473 0.000
Cl3 0.640 0.140 0.500
Cl4 0.817 0.817 0.000

Largest 6 diffraction maxima, in order of rising 2θ, 10 to 80 degrees two-theta:
| 2θ (°) | I/Imax |
| --- | --- |
| 10.67 | 54 |
| 22.23 | 89 |
| 22.50 | 61 |
| 31.28 | 48 |
| 31.65 | 100 |
| 45.93 | 47 |


No. 5
Starting from the GGA-PBE geometry in Alexandria, the XRD peak list of CePm4Ho10 was simulated for Cu Kα X-rays.
Neutral-atom scattering factors, no anomalous dispersion.

Structure:
Lattice parameters (Å, degrees): 8.850 8.850 8.850 101.69 101.69 126.49
Fractional positions:
Ce1 0.000 0.000 0.000
Pm1 0.226 0.226 0.453
Pm2 0.226 0.774 0.000
Pm3 0.774 0.226 0.000
Pm4 0.774 0.774 0.547
Ho1 0.088 0.294 0.794
Ho2 0.250 0.750 0.500
Ho3 0.294 0.088 0.794
Ho4 0.294 0.500 0.206
Ho5 0.500 0.294 0.206
Ho6 0.500 0.706 0.794
Ho7 0.706 0.500 0.794
Ho8 0.706 0.912 0.206
Ho9 0.750 0.250 0.500
Ho10 0.912 0.706 0.206

Largest 6 diffraction maxima, in order of rising 2θ, 10 to 80 degrees two-theta:
| 2θ (°) | I/Imax |
| --- | --- |
| 27.50 | 57 |
| 30.96 | 53 |
| 31.90 | 94 |
| 32.03 | 100 |
| 33.91 | 44 |
| 41.08 | 54 |


No. 6
Starting from the GGA-PBE geometry in Alexandria, the XRD peak list of La2Sn8Pb was simulated for Cu Kα X-rays.
Neutral-atom scattering factors, no anomalous dispersion.

Structure:
Lattice parameters (Å, degrees): 4.703 4.703 14.745 90.00 90.00 90.00
Fractional positions:
La1 0.000 0.000 0.160
La2 0.000 0.000 0.840
Sn1 0.000 0.500 0.000
Sn2 0.000 0.500 0.339
Sn3 0.000 0.500 0.661
Sn4 0.500 0.000 0.000
Sn5 0.500 0.000 0.339
Sn6 0.500 0.000 0.661
Sn7 0.500 0.500 0.178
Sn8 0.500 0.500 0.822
Pb1 0.000 0.000 0.500

Largest 6 diffraction maxima, in order of rising 2θ, 10 to 80 degrees two-theta:
| 2θ (°) | I/Imax |
| --- | --- |
| 32.51 | 100 |
| 36.57 | 18 |
| 38.28 | 33 |
| 53.97 | 23 |
| 63.28 | 14 |
| 65.59 | 28 |


No. 7
Starting from the GGA-PBE geometry in Alexandria, the XRD peak list of K2Ti3Br9 was simulated for Cu Kα X-rays.
Neutral-atom scattering factors, no anomalous dispersion.

Structure:
Lattice parameters (Å, degrees): 10.418 10.418 10.192 102.18 102.18 117.69
Fractional positions:
K1 0.061 0.732 0.677
K2 0.268 0.939 0.323
K3 0.732 0.061 0.677
K4 0.939 0.268 0.323
Ti1 0.270 0.444 0.855
Ti2 0.358 0.358 0.125
Ti3 0.444 0.270 0.855
Ti4 0.556 0.730 0.145
Ti5 0.642 0.642 0.875
Ti6 0.730 0.556 0.145
Br1 0.001 0.394 0.675
Br2 0.093 0.301 0.982
Br3 0.187 0.187 0.671
Br4 0.214 0.214 0.283
Br5 0.301 0.093 0.982
Br6 0.302 0.698 0.000
Br7 0.393 0.589 0.698
Br8 0.394 0.001 0.675
Br9 0.411 0.607 0.302
Br10 0.589 0.393 0.698
Br11 0.606 0.999 0.325
Br12 0.607 0.411 0.302
Br13 0.698 0.302 0.000
Br14 0.699 0.907 0.018
Br15 0.786 0.786 0.717
Br16 0.813 0.813 0.329
Br17 0.907 0.699 0.018
Br18 0.999 0.606 0.325

Largest 6 diffraction maxima, in order of rising 2θ, 10 to 80 degrees two-theta:
| 2θ (°) | I/Imax |
| --- | --- |
| 27.65 | 61 |
| 28.78 | 88 |
| 30.96 | 64 |
| 31.11 | 70 |
| 35.09 | 100 |
| 49.39 | 60 |


No. 8
Starting from the GGA-PBE geometry in Alexandria, the XRD peak list of CeDy3Hg6 was simulated for Cu Kα X-rays.
Neutral-atom scattering factors, no anomalous dispersion.

Structure:
Lattice parameters (Å, degrees): 9.256 5.192 11.228 90.00 106.96 90.00
Fractional positions:
Ce1 0.067 0.250 0.384
Ce2 0.933 0.750 0.616
Dy1 0.231 0.250 0.005
Dy2 0.352 0.750 0.804
Dy3 0.489 0.250 0.613
Dy4 0.511 0.750 0.387
Dy5 0.648 0.250 0.196
Dy6 0.769 0.750 0.995
Hg1 0.063 0.750 0.909
Hg2 0.143 0.750 0.207
Hg3 0.174 0.250 0.691
Hg4 0.252 0.750 0.520
Hg5 0.358 0.250 0.292
Hg6 0.465 0.750 0.093
Hg7 0.535 0.250 0.907
Hg8 0.642 0.750 0.708
Hg9 0.748 0.250 0.480
Hg10 0.826 0.750 0.309
Hg11 0.857 0.250 0.793
Hg12 0.937 0.250 0.091

Largest 6 diffraction maxima, in order of rising 2θ, 10 to 80 degrees two-theta:
| 2θ (°) | I/Imax |
| --- | --- |
| 33.61 | 48 |
| 33.80 | 98 |
| 34.30 | 100 |
| 34.55 | 52 |
| 48.97 | 34 |
| 61.23 | 25 |


No. 9
Starting from the GGA-PBE geometry in Alexandria, the XRD peak list of Zn2Ag3 was simulated for Cu Kα X-rays.
Neutral-atom scattering factors, no anomalous dispersion.

Structure:
Lattice parameters (Å, degrees): 5.497 5.497 7.401 108.09 108.09 52.08
Fractional positions:
Zn1 0.077 0.714 0.546
Zn2 0.286 0.923 0.954
Zn3 0.714 0.077 0.046
Zn4 0.923 0.286 0.454
Ag1 0.127 0.490 0.852
Ag2 0.304 0.696 0.250
Ag3 0.490 0.127 0.352
Ag4 0.510 0.873 0.648
Ag5 0.696 0.304 0.750
Ag6 0.873 0.510 0.148

Largest 6 diffraction maxima, in order of rising 2θ, 10 to 80 degrees two-theta:
| 2θ (°) | I/Imax |
| --- | --- |
| 35.80 | 27 |
| 37.26 | 39 |
| 38.54 | 68 |
| 40.40 | 100 |
| 41.27 | 96 |
| 42.14 | 57 |


No. 10
Starting from the GGA-PBE geometry in Alexandria, the XRD peak list of NdNb4O12 was simulated for Cu Kα X-rays.
Neutral-atom scattering factors, no anomalous dispersion.

Structure:
Lattice parameters (Å, degrees): 7.945 5.635 5.635 88.58 90.00 90.00
Fractional positions:
Nd1 0.000 0.000 0.000
Nb1 0.257 0.494 0.990
Nb2 0.257 0.990 0.494
Nb3 0.743 0.494 0.990
Nb4 0.743 0.990 0.494
O1 0.000 0.430 0.991
O2 0.000 0.991 0.430
O3 0.203 0.745 0.745
O4 0.231 0.224 0.722
O5 0.231 0.722 0.224
O6 0.253 0.201 0.201
O7 0.500 0.496 0.948
O8 0.500 0.948 0.496
O9 0.747 0.201 0.201
O10 0.769 0.224 0.722
O11 0.769 0.722 0.224
O12 0.797 0.745 0.745

Largest 6 diffraction maxima, in order of rising 2θ, 10 to 80 degrees two-theta:
| 2θ (°) | I/Imax |
| --- | --- |
| 11.14 | 58 |
| 15.73 | 62 |
| 19.31 | 69 |
| 31.61 | 99 |
| 31.77 | 99 |
| 32.01 | 100 |


No. 11
Starting from the GGA-PBE geometry in Alexandria, the XRD peak list of Sr3PaBi4 was simulated for Cu Kα X-rays.
Neutral-atom scattering factors, no anomalous dispersion.

Structure:
Lattice parameters (Å, degrees): 8.187 9.590 8.234 90.00 110.01 90.00
Fractional positions:
Sr1 0.000 0.120 0.250
Sr2 0.000 0.375 0.750
Sr3 0.000 0.625 0.250
Sr4 0.000 0.880 0.750
Sr5 0.500 0.124 0.750
Sr6 0.500 0.876 0.250
Pa1 0.500 0.373 0.250
Pa2 0.500 0.627 0.750
Bi1 0.265 0.142 0.018
Bi2 0.265 0.858 0.518
Bi3 0.279 0.390 0.499
Bi4 0.279 0.610 0.999
Bi5 0.721 0.390 0.001
Bi6 0.721 0.610 0.501
Bi7 0.735 0.142 0.482
Bi8 0.735 0.858 0.982

Largest 6 diffraction maxima, in order of rising 2θ, 10 to 80 degrees two-theta:
| 2θ (°) | I/Imax |
| --- | --- |
| 26.52 | 100 |
| 37.52 | 13 |
| 37.77 | 27 |
| 37.94 | 24 |
| 38.23 | 12 |
| 46.52 | 14 |


No. 12
Starting from the GGA-PBE geometry in Alexandria, the XRD peak list of LiAc2SnN was simulated for Cu Kα X-rays.
Neutral-atom scattering factors, no anomalous dispersion.

Structure:
Lattice parameters (Å, degrees): 7.348 4.194 9.010 90.00 107.94 90.00
Fractional positions:
Li1 0.067 0.250 0.251
Li2 0.933 0.750 0.749
Ac1 0.295 0.750 0.534
Ac2 0.322 0.750 0.127
Ac3 0.678 0.250 0.873
Ac4 0.705 0.250 0.466
Sn1 0.180 0.250 0.802
Sn2 0.820 0.750 0.198
N1 0.354 0.250 0.330
N2 0.646 0.750 0.670

Largest 6 diffraction maxima, in order of rising 2θ, 10 to 80 degrees two-theta:
| 2θ (°) | I/Imax |
| --- | --- |
| 24.76 | 42 |
| 25.48 | 39 |
| 27.53 | 47 |
| 29.80 | 100 |
| 33.37 | 35 |
| 51.95 | 27 |


Q: Number 8 is which compound?
A: CeDy3Hg6